Diffraction record for LaFe2P2. The PXRD pattern is simulated, not measured: it uses a structure optimized by DFT (PBE) and λ = 1.5418 Å (Cu Kα).
No peak broadening, texture or thermal motion is included.

Largest 10 diffraction maxima, in order of falling intensity, 2θ = 5–70°:
Position (°2θ), intensity
37.14, 1000
34.02, 864
24.70, 505
47.63, 425
61.43, 354
59.82, 326
32.80, 264
59.04, 187
47.98, 163
69.64, 130

Atomic structure:
Cell: 3.8187 3.8187 10.9216 Å, 90.00 90.00 90.00°
Space group I4/mmm (No. 139)
Asymmetric unit:
La1 0.0000 0.0000 0.0000 x2
Fe1 0.0000 0.5000 0.2500 x4
P1 0.0000 0.0000 0.3505 x4

Diffraction record for La5FePb3. The PXRD pattern is simulated, not measured: it uses a structure optimized by DFT (PBE) and λ = 1.5418 Å (Cu Kα).
No peak broadening, texture or thermal motion is included.

Largest 10 diffraction maxima, in order of falling intensity, 2θ = 5–70°:
Position (°2θ), intensity
30.86, 1000
31.03, 745
32.05, 330
47.63, 304
61.03, 221
24.81, 211
40.82, 206
28.18, 160
45.21, 133
39.31, 121

Atomic structure:
Cell: 9.6747 9.6747 7.1782 Å, 90.00 90.00 120.00°
Space group P6_3/mcm (No. 193)
Asymmetric unit:
La1 0.0000 0.2306 0.2500 x6
La2 0.3333 0.6667 0.0000 x4
Fe1 0.0000 0.0000 0.0000 x2
Pb1 0.0000 0.4023 0.7500 x6

Diffraction record for La12Fe11S30. The PXRD pattern is simulated, not measured: it uses a structure optimized by DFT (PBE) and λ = 1.5418 Å (Cu Kα).
No peak broadening, texture or thermal motion is included.

Largest 10 diffraction maxima, in order of falling intensity, 2θ = 5–70°:
Position (°2θ), intensity
21.46, 1000
33.80, 994
33.54, 915
26.09, 639
38.63, 625
45.96, 607
39.45, 571
26.79, 544
23.16, 478
35.37, 371

Atomic structure:
Cell: 49.7221 3.9490 11.0774 Å, 90.00 92.00 90.00°
Space group Cm (No. 8)
Asymmetric unit:
La1 0.0000 0.0000 0.0000 x2
La2 0.9998 0.0000 0.3799 x2
La3 0.0771 0.0000 0.8470 x2
La4 0.0802 0.0000 0.4563 x2
La5 0.1632 0.5000 0.3499 x2
La6 0.1626 0.5000 0.9682 x2
La7 0.2438 0.5000 0.8463 x2
La8 0.2459 0.5000 0.4691 x2
La9 0.3291 0.0000 0.9769 x2
La10 0.3312 0.0000 0.3583 x2
La11 0.4101 0.0000 0.8730 x2
La12 0.4125 0.0000 0.4880 x2
Fe1 0.0052 0.5000 0.7099 x2
Fe2 0.0984 0.0000 0.1445 x2
Fe3 0.1386 0.5000 0.6599 x2
Fe4 0.1729 0.0000 0.6809 x2
Fe5 0.2312 0.0000 0.1896 x2
Fe6 0.2682 0.5000 0.1499 x2
Fe7 0.3069 0.0000 0.6567 x2
Fe8 0.3422 0.5000 0.6939 x2
Fe9 0.4039 0.5000 0.1997 x2
Fe10 0.4369 0.0000 0.1813 x2
Fe11 0.4724 0.5000 0.6860 x2
S1 0.0226 0.0000 0.6423 x2
S2 0.0334 0.5000 0.8759 x2
S3 0.0401 0.5000 0.3970 x2
S4 0.0541 0.0000 0.1110 x2
S5 0.0892 0.5000 0.6536 x2
S6 0.1046 0.5000 0.2989 x2
S7 0.1045 0.5000 0.9973 x2
S8 0.1371 0.0000 0.8055 x2
S9 0.1407 0.0000 0.5175 x2
S10 0.1525 0.0000 0.1564 x2
S11 0.1912 0.5000 0.6122 x2
S12 0.1994 0.0000 0.8550 x2
S13 0.2072 0.0000 0.3703 x2
S14 0.2181 0.5000 0.0965 x2
S15 0.2565 0.0000 0.6568 x2
S16 0.2700 0.0000 0.0040 x2
S17 0.2709 0.0000 0.3072 x2
S18 0.3040 0.5000 0.8109 x2
S19 0.3058 0.5000 0.5109 x2
S20 0.3190 0.5000 0.1647 x2
S21 0.3583 0.0000 0.6105 x2
S22 0.3672 0.5000 0.8822 x2
S23 0.3766 0.5000 0.3658 x2
S24 0.3860 0.0000 0.1253 x2
S25 0.4226 0.5000 0.6812 x2
S26 0.4351 0.5000 0.0407 x2
S27 0.4396 0.5000 0.3358 x2
S28 0.4701 0.0000 0.8428 x2
S29 0.4732 0.0000 0.5430 x2
S30 0.4865 0.0000 0.1842 x2

Diffraction record for La4FeS7. The PXRD pattern is simulated, not measured: it uses a structure optimized by DFT (PBE) and λ = 1.5418 Å (Cu Kα).
No peak broadening, texture or thermal motion is included.

Largest 10 diffraction maxima, in order of falling intensity, 2θ = 5–70°:
Position (°2θ), intensity
24.17, 1000
24.49, 998
36.03, 777
25.62, 546
24.33, 512
24.05, 496
32.92, 488
33.40, 486
36.12, 387
20.59, 348

Atomic structure:
Cell: 6.9550 9.9481 9.9616 Å, 60.16 89.75 88.83°
Space group P1 (No. 1)
Asymmetric unit:
La1 0.0000 0.0000 0.0000 x1
La2 0.0006 0.4059 0.0719 x1
La3 0.0332 0.4506 0.5179 x1
La4 0.4946 0.5529 0.7008 x1
La5 0.4991 0.6274 0.2208 x1
La6 0.5002 0.1534 0.6257 x1
La7 0.5324 0.1230 0.1788 x1
La8 0.9916 0.9287 0.4730 x1
Fe1 0.2182 0.7782 0.8413 x1
Fe2 0.7182 0.7845 0.8376 x1
S1 0.1471 0.1088 0.1845 x1
S2 0.2527 0.3422 0.3611 x1
S3 0.2526 0.7083 0.4103 x1
S4 0.2544 0.2894 0.7789 x1
S5 0.3931 0.9085 0.9440 x1
S6 0.3968 0.5413 0.9850 x1
S7 0.4261 0.8727 0.6236 x1
S8 0.6473 0.4454 0.5156 x1
S9 0.7502 0.8560 0.2841 x1
S10 0.7537 0.2219 0.3371 x1
S11 0.7549 0.2713 0.9199 x1
S12 0.8895 0.6828 0.0759 x1
S13 0.9055 0.0092 0.7152 x1
S14 0.9199 0.6465 0.7500 x1

Diffraction record for La3Fe2S7. The PXRD pattern is simulated, not measured: it uses a structure optimized by DFT (PBE) and λ = 1.5418 Å (Cu Kα).
No peak broadening, texture or thermal motion is included.

Largest 10 diffraction maxima, in order of falling intensity, 2θ = 5–70°:
Position (°2θ), intensity
24.88, 1000
40.42, 666
26.24, 476
39.22, 470
22.79, 433
33.53, 383
36.04, 361
34.58, 337
30.19, 328
48.93, 292

Atomic structure:
Cell: 10.3763 10.3763 5.9203 Å, 90.00 90.00 120.00°
Space group P6_3 (No. 173)
Asymmetric unit:
La1 0.1314 0.7558 0.0000 x6
Fe1 0.0000 0.0000 0.4695 x2
Fe2 0.3333 0.6667 0.5861 x2
S1 0.0844 0.8393 0.4879 x6
S2 0.1042 0.5154 0.7308 x6
S3 0.3333 0.6667 0.2110 x2

Diffraction record for La3Fe2S7. The PXRD pattern is simulated, not measured: it uses a structure optimized by DFT (PBE) and λ = 1.5418 Å (Cu Kα).
No peak broadening, texture or thermal motion is included.

Largest 10 diffraction maxima, in order of falling intensity, 2θ = 5–70°:
Position (°2θ), intensity
25.19, 1000
36.51, 370
34.08, 364
39.93, 354
35.32, 330
26.80, 299
23.04, 271
40.73, 258
18.02, 252
49.90, 228

Atomic structure:
Cell: 10.1638 10.1638 5.9375 Å, 90.00 90.00 120.00°
Space group P6_3 (No. 173)
Asymmetric unit:
La1 0.1419 0.7676 0.0000 x6
Fe1 0.0000 0.0000 0.2814 x2
Fe2 0.3333 0.6667 0.4139 x2
S1 0.0805 0.8677 0.5349 x6
S2 0.0964 0.5158 0.2799 x6
S3 0.3333 0.6667 0.7893 x2

Diffraction record for La3FeSiS7. The PXRD pattern is simulated, not measured: it uses a structure optimized by DFT (PBE) and λ = 1.5418 Å (Cu Kα).
No peak broadening, texture or thermal motion is included.

Largest 10 diffraction maxima, in order of falling intensity, 2θ = 5–70°:
Position (°2θ), intensity
25.25, 1000
36.01, 914
39.46, 596
23.20, 461
37.41, 434
26.23, 360
34.56, 357
41.40, 314
9.84, 313
49.12, 290

Atomic structure:
Cell: 10.3810 10.3810 5.6890 Å, 90.00 90.00 120.00°
Space group P6_3 (No. 173)
Asymmetric unit:
La1 0.1224 0.3560 0.0000 x6
Fe1 0.0000 0.0000 0.2356 x2
Si1 0.3333 0.6667 0.5854 x2
S1 0.0807 0.2379 0.4874 x6
S2 0.1152 0.5914 0.7243 x6
S3 0.3333 0.6667 0.2168 x2

Diffraction record for LaFe4Sb12. The PXRD pattern is simulated, not measured: it uses a structure optimized by DFT (PBE) and λ = 1.5418 Å (Cu Kα).
No peak broadening, texture or thermal motion is included.

Largest 10 diffraction maxima, in order of falling intensity, 2θ = 5–70°:
Position (°2θ), intensity
30.78, 1000
36.60, 495
50.67, 224
48.55, 216
69.38, 185
58.59, 168
44.08, 118
60.46, 116
62.30, 84
46.36, 52

Atomic structure:
Cell: 9.1869 9.1869 9.1869 Å, 90.00 90.00 90.00°
Space group Im-3 (No. 204)
Asymmetric unit:
La1 0.0000 0.0000 0.0000 x2
Fe1 0.2500 0.2500 0.2500 x8
Sb1 0.0000 0.3350 0.1630 x24